For Ba3Cr2O8, a DFT-relaxed cell (GGA+U, the Materials Project) gives the computed PXRD pattern in this record (copper Kα).
Neutral-atom scattering factors, no anomalous dispersion.

The 12 most intense peaks (2θ from 10° to 90°), low angle first:
2θ/deg	d (Å)	I (rel.)	(hkl)
17.99	4.932	86	0 1 -1
24.06	3.699	108	-1 1 2
27.08	3.293	1000	1 2 1
30.57	2.924	878	2 0 0
41.29	2.186	413	2 1 3
45.54	1.992	253	1 3 4
52.19	1.753	153	1 0 5
52.29	1.749	152	3 2 1
54.31	1.689	110	3 1 -2
63.60	1.463	99	2 2 -4
64.99	1.435	119	1 5 0
70.45	1.337	110	1 4 -3

Structural model:
```
Ba3Cr2O8
1.0
5.842 0.000 0.000
0.009 7.969 0.000
0.005 3.681 9.191
Ba Cr O
6 4 16
direct
0.000 0.000 0.000
0.000 0.175 0.587
0.498 0.090 0.292
0.500 0.503 0.499
0.500 0.678 0.087
0.998 0.588 0.795
0.000 0.403 0.201
0.499 0.275 0.886
0.499 0.903 0.701
0.999 0.774 0.386
0.000 0.251 0.116
0.000 0.618 0.066
0.004 0.939 0.459
0.239 0.376 0.310
0.243 0.801 0.280
0.255 0.880 0.806
0.260 0.302 0.776
0.496 0.118 0.568
0.499 0.060 0.021
0.501 0.427 0.971
0.505 0.740 0.627
0.739 0.302 0.776
0.742 0.876 0.807
0.756 0.798 0.281
0.761 0.376 0.310
0.997 0.559 0.519
```